1.
Diffraction record for Li4Cr3Sn5O16. The powder diffraction line list is calculated, not measured: it uses a PBE+U-relaxed structure and Cu Kα, 1.54184 Å.
Intensities are scaled so that the largest is 100.

Largest 10 diffraction maxima, most intense first, 10° ≤ 2θ ≤ 90°:
- 2θ 18.80, rel. 100
- 2θ 34.63, rel. 59
- 2θ 34.09, rel. 56
- 2θ 31.73, rel. 54
- 2θ 24.42, rel. 51
- 2θ 17.85, rel. 44
- 2θ 18.91, rel. 43
- 2θ 59.92, rel. 32
- 2θ 57.66, rel. 30
- 2θ 34.26, rel. 29

Crystal structure
Lattice parameters (Å, degrees): 6.175 6.175 9.939 90.25 90.25 60.34
Element x y z (fractional)
Li1 0.000 0.000 0.000
Li2 0.002 0.002 0.491
Li3 0.323 0.323 0.393
Li4 0.659 0.659 0.907
Cr1 0.160 0.160 0.717
Cr2 0.331 0.821 0.216
Cr3 0.821 0.331 0.216
Sn1 0.159 0.653 0.718
Sn2 0.321 0.321 0.999
Sn3 0.651 0.651 0.488
Sn4 0.653 0.159 0.718
Sn5 0.822 0.822 0.216
O1 0.027 0.475 0.847
O2 0.154 0.154 0.105
O3 0.155 0.672 0.099
O4 0.313 0.830 0.601
O5 0.321 0.321 0.606
O6 0.475 0.027 0.847
O7 0.475 0.475 0.848
O8 0.504 0.955 0.341
O9 0.508 0.508 0.333
O10 0.654 0.654 0.110
O11 0.672 0.155 0.099
O12 0.830 0.313 0.601
O13 0.830 0.830 0.597
O14 0.955 0.504 0.341
O15 0.996 0.996 0.309
O16 0.996 0.996 0.817

---

2.
Diffraction record for Li2Cr3SnO8. The powder diffraction line list is calculated, not measured: it uses a PBE+U-relaxed structure and Cu Kα, 1.54184 Å.
Intensities are scaled so that the largest is 100.

Largest 10 diffraction maxima, most intense first, 10° ≤ 2θ ≤ 90°:
- 2θ 18.07, rel. 100
- 2θ 42.17, rel. 50
- 2θ 18.23, rel. 44
- 2θ 34.99, rel. 34
- 2θ 42.53, rel. 24
- 2θ 34.18, rel. 19
- 2θ 34.70, rel. 18
- 2θ 60.43, rel. 16
- 2θ 56.21, rel. 16
- 2θ 62.45, rel. 15

Crystal structure
Lattice parameters (Å, degrees): 6.132 6.132 10.267 106.14 106.14 58.72
Element x y z (fractional)
Li1 0.180 0.682 0.558
Li2 0.318 0.820 0.942
Li3 0.682 0.180 0.058
Li4 0.820 0.318 0.442
Cr1 0.000 0.500 0.000
Cr2 0.249 0.250 0.249
Cr3 0.250 0.249 0.749
Cr4 0.500 0.000 0.500
Cr5 0.750 0.751 0.251
Cr6 0.751 0.750 0.751
Sn1 0.246 0.754 0.250
Sn2 0.754 0.246 0.750
O1 0.104 0.596 0.874
O2 0.116 0.156 0.874
O3 0.116 0.615 0.357
O4 0.156 0.116 0.374
O5 0.337 0.390 0.123
O6 0.385 0.884 0.143
O7 0.390 0.337 0.623
O8 0.404 0.896 0.626
O9 0.596 0.104 0.374
O10 0.610 0.663 0.377
O11 0.615 0.116 0.857
O12 0.663 0.610 0.877
O13 0.844 0.884 0.626
O14 0.884 0.385 0.643
O15 0.884 0.844 0.126
O16 0.896 0.404 0.126

---

3.
Diffraction record for Li4Cr3Sn3Te2O16. The powder diffraction line list is calculated, not measured: it uses a PBE+U-relaxed structure and Cu Kα, 1.54184 Å.
Intensities are scaled so that the largest is 100.

Largest 10 diffraction maxima, most intense first, 10° ≤ 2θ ≤ 90°:
- 2θ 18.45, rel. 100
- 2θ 18.29, rel. 88
- 2θ 34.37, rel. 83
- 2θ 17.49, rel. 68
- 2θ 18.68, rel. 68
- 2θ 33.94, rel. 63
- 2θ 33.21, rel. 52
- 2θ 58.88, rel. 50
- 2θ 33.69, rel. 46
- 2θ 42.46, rel. 43

Crystal structure
Lattice parameters (Å, degrees): 6.276 6.276 10.146 91.40 91.40 59.72
Element x y z (fractional)
Li1 0.000 0.000 0.000
Li2 0.002 0.002 0.493
Li3 0.322 0.322 0.094
Li4 0.662 0.662 0.580
Cr1 0.163 0.163 0.780
Cr2 0.331 0.829 0.276
Cr3 0.829 0.331 0.276
Sn1 0.162 0.659 0.774
Sn2 0.659 0.162 0.774
Sn3 0.829 0.829 0.276
Te1 0.320 0.320 0.497
Te2 0.647 0.647 0.009
O1 0.035 0.485 0.637
O2 0.151 0.151 0.390
O3 0.158 0.692 0.385
O4 0.311 0.819 0.902
O5 0.330 0.330 0.881
O6 0.483 0.483 0.658
O7 0.485 0.035 0.637
O8 0.502 0.960 0.158
O9 0.515 0.515 0.150
O10 0.660 0.660 0.377
O11 0.692 0.158 0.385
O12 0.819 0.311 0.902
O13 0.843 0.843 0.882
O14 0.960 0.502 0.158
O15 0.998 0.998 0.676
O16 0.999 0.999 0.180